CaCrP2O7: simulated powder diffractogram (Cu Kα (λ = 1.5418 Å)), based on DFT lattice parameters and positions (GGA+U).
Peak positions follow from Bragg's law for the DFT cell and can differ from measured ones.

Top 8 peaks for 2θ = 15–90°, in order of rising 2θ:
2θ = 27.2°, I 100
2θ = 27.6°, I 64
2θ = 27.8°, I 28
2θ = 29.2°, I 72
2θ = 30.3°, I 62
2θ = 31.5°, I 57
2θ = 37.4°, I 21
2θ = 57.6°, I 31

Crystal structure
```
CaCrP2O7
1.0
6.5134 0.0000 0.0000
0.8720 6.4825 0.0000
0.6741 2.6806 6.5668
Ca Cr P O
2 2 4 14
Direct
0.1526 0.2231 0.3534 Ca
0.8474 0.7769 0.6466 Ca
0.3350 0.3985 0.7382 Cr
0.6650 0.6015 0.2618 Cr
0.1598 0.7328 0.2406 P
0.3643 0.8640 0.8238 P
0.6357 0.1360 0.1762 P
0.8402 0.2672 0.7594 P
0.0122 0.4040 0.7683 O
0.0885 0.8838 0.3561 O
0.2225 0.8951 0.0147 O
0.2552 0.7136 0.7544 O
0.3476 0.5613 0.3288 O
0.3561 0.1064 0.6659 O
0.4178 0.2322 0.1037 O
0.5822 0.7678 0.8963 O
0.6439 0.8936 0.3341 O
0.6524 0.4387 0.6712 O
0.7448 0.2864 0.2456 O
0.7775 0.1049 0.9853 O
0.9115 0.1162 0.6439 O
0.9878 0.5960 0.2317 O
```

CaFeO2: simulated powder diffractogram (Cu Kα (λ = 1.5418 Å)), based on DFT lattice parameters and positions (GGA+U).
Peak positions follow from Bragg's law for the DFT cell and can differ from measured ones.

Top 8 peaks for 2θ = 15–90°, in order of rising 2θ:
2θ = 19.4°, I 67
2θ = 27.6°, I 100
2θ = 30.6°, I 73
2θ = 31.4°, I 81
2θ = 31.8°, I 59
2θ = 32.6°, I 96
2θ = 32.8°, I 86
2θ = 46.1°, I 62

Crystal structure
```
CaFeO2
1.0
3.1346 0.0000 0.0000
-1.4300 8.7668 0.0000
-1.3943 -0.3586 9.1550
Ca Fe O
4 4 8
Direct
0.0949 0.2337 0.4313 Ca
0.2762 0.8767 0.1894 Ca
0.7238 0.1233 0.8106 Ca
0.9051 0.7663 0.5687 Ca
0.0901 0.7913 0.8752 Fe
0.3295 0.4500 0.7037 Fe
0.6705 0.5500 0.2963 Fe
0.9099 0.2087 0.1248 Fe
0.0878 0.4123 0.2569 O
0.2871 0.7055 0.3754 O
0.3243 0.1817 0.9766 O
0.4732 0.1154 0.2826 O
0.5268 0.8846 0.7174 O
0.6757 0.8183 0.0234 O
0.7129 0.2945 0.6246 O
0.9122 0.5877 0.7431 O
```

LuVO3: simulated powder diffractogram (Cu Kα (λ = 1.5418 Å)), based on DFT lattice parameters and positions (GGA+U).
Peak positions follow from Bragg's law for the DFT cell and can differ from measured ones.

Top 8 peaks for 2θ = 15–90°, in order of rising 2θ:
2θ = 23.1°, I 30
2θ = 32.9°, I 100
2θ = 40.5°, I 26
2θ = 47.2°, I 31
2θ = 53.1°, I 15
2θ = 58.7°, I 39
2θ = 68.9°, I 18
2θ = 78.5°, I 17

Crystal structure
```
LuVO3
1.0
3.8536 0.0000 0.0000
0.0000 3.8536 0.0000
0.0000 0.0000 3.8536
Lu V O
1 1 3
Direct
0.0000 0.0000 0.0000 Lu
0.5000 0.5000 0.5000 V
0.0000 0.5000 0.5000 O
0.5000 0.0000 0.5000 O
0.5000 0.5000 0.0000 O
```

Fe8SiO12: simulated powder diffractogram (Cu Kα (λ = 1.5418 Å)), based on DFT lattice parameters and positions (GGA+U).
Peak positions follow from Bragg's law for the DFT cell and can differ from measured ones.

Top 8 peaks for 2θ = 15–90°, in order of rising 2θ:
2θ = 33.1°, I 97
2θ = 33.2°, I 74
2θ = 34.6°, I 87
2θ = 34.8°, I 96
2θ = 35.1°, I 76
2θ = 42.3°, I 100
2θ = 61.3°, I 77
2θ = 61.9°, I 74

Crystal structure
```
Fe8SiO12
1.0
8.4844 0.0000 0.0000
0.0000 6.0030 0.0000
-0.1138 0.0000 9.1191
Fe Si O
16 2 24
Direct
0.0000 0.0000 0.0000 Fe
0.0000 0.5000 0.0000 Fe
0.1353 0.2500 0.6756 Fe
0.2169 0.7500 0.4991 Fe
0.2464 0.7500 0.8344 Fe
0.2476 0.7500 0.1654 Fe
0.3814 0.2500 0.9910 Fe
0.4952 0.0131 0.3367 Fe
0.4952 0.4869 0.3367 Fe
0.5048 0.5131 0.6633 Fe
0.5048 0.9869 0.6633 Fe
0.6186 0.7500 0.0090 Fe
0.7524 0.2500 0.8346 Fe
0.7536 0.2500 0.1656 Fe
0.7831 0.2500 0.5009 Fe
0.8647 0.7500 0.3244 Fe
0.1312 0.2500 0.3282 Si
0.8688 0.7500 0.6718 Si
0.0037 0.7500 0.1624 O
0.0072 0.2500 0.1859 O
0.0281 0.2500 0.4831 O
0.2448 0.0234 0.3313 O
0.2448 0.4766 0.3313 O
0.2488 0.5106 0.9888 O
0.2488 0.9894 0.9888 O
0.2600 0.5141 0.6728 O
0.2600 0.9859 0.6728 O
0.4707 0.7500 0.4920 O
0.4906 0.7500 0.1824 O
0.4922 0.7500 0.8287 O
0.5078 0.2500 0.1713 O
0.5094 0.2500 0.8176 O
0.5293 0.2500 0.5080 O
0.7400 0.0141 0.3272 O
0.7400 0.4859 0.3272 O
0.7512 0.0106 0.0112 O
0.7512 0.4894 0.0112 O
0.7552 0.5234 0.6687 O
0.7552 0.9766 0.6687 O
0.9719 0.7500 0.5169 O
0.9928 0.7500 0.8141 O
0.9963 0.2500 0.8376 O
```

MnO2: simulated powder diffractogram (Cu Kα (λ = 1.5418 Å)), based on DFT lattice parameters and positions (GGA+U).
Peak positions follow from Bragg's law for the DFT cell and can differ from measured ones.

Top 8 peaks for 2θ = 15–90°, in order of rising 2θ:
2θ = 18.1°, I 100
2θ = 18.6°, I 60
2θ = 21.4°, I 39
2θ = 30.1°, I 21
2θ = 35.9°, I 42
2θ = 36.2°, I 57
2θ = 43.6°, I 78
2θ = 64.0°, I 22

Crystal structure
```
MnO2
1.0
5.8155 0.0000 0.0000
2.9000 5.0410 0.0000
0.0080 0.0263 14.6649
Mn O
12 24
Direct
0.0000 0.0000 0.0000 Mn
0.9999 0.4901 0.0008 Mn
0.1625 0.6620 0.3269 Mn
0.1664 0.1588 0.4545 Mn
0.3317 0.3326 0.6672 Mn
0.3365 0.8195 0.6655 Mn
0.4898 0.9989 0.0003 Mn
0.6647 0.1604 0.3274 Mn
0.6648 0.6613 0.3274 Mn
0.8217 0.3333 0.6659 Mn
0.8302 0.8289 0.7882 Mn
0.8296 0.8299 0.1625 Mn
0.0082 0.0061 0.7375 O
0.0082 0.4709 0.7383 O
0.1216 0.6844 0.0770 O
0.1633 0.1623 0.5951 O
0.1633 0.1627 0.0694 O
0.1956 0.6462 0.5998 O
0.3141 0.3144 0.9324 O
0.3181 0.8524 0.9338 O
0.3406 0.3371 0.3984 O
0.3417 0.8065 0.3988 O
0.4721 0.0077 0.7382 O
0.4974 0.4947 0.2622 O
0.4969 0.4956 0.7372 O
0.5370 0.9748 0.2512 O
0.6458 0.1957 0.5995 O
0.6507 0.6484 0.6006 O
0.6835 0.1218 0.0764 O
0.6836 0.6833 0.0770 O
0.8122 0.3368 0.3980 O
0.8296 0.8294 0.9281 O
0.8311 0.8277 0.3952 O
0.8596 0.3155 0.9324 O
0.9771 0.5354 0.2508 O
0.9773 0.9751 0.2510 O
```

Fe2SnP3O12: simulated powder diffractogram (Cu Kα (λ = 1.5418 Å)), based on DFT lattice parameters and positions (GGA+U).
Peak positions follow from Bragg's law for the DFT cell and can differ from measured ones.

Top 8 peaks for 2θ = 15–90°, in order of rising 2θ:
2θ = 20.5°, I 100
2θ = 23.9°, I 59
2θ = 25.1°, I 26
2θ = 32.2°, I 91
2θ = 35.8°, I 38
2θ = 46.2°, I 28
2θ = 48.9°, I 34
2θ = 62.1°, I 26

Crystal structure
```
Fe2SnP3O12
1.0
4.3412 2.5064 7.2406
-4.3412 2.5064 7.2406
0.0000 -5.0128 7.2406
Fe Sn P O
4 2 6 24
Direct
0.1481 0.1481 0.1481 Fe
0.3519 0.3519 0.3519 Fe
0.6481 0.6481 0.6481 Fe
0.8519 0.8519 0.8519 Fe
0.0000 0.0000 0.0000 Sn
0.5000 0.5000 0.5000 Sn
0.0406 0.7500 0.4594 P
0.2500 0.5406 0.9594 P
0.4594 0.0406 0.7500 P
0.5406 0.9594 0.2500 P
0.7500 0.4594 0.0406 P
0.9594 0.2500 0.5406 P
0.0070 0.8053 0.6148 O
0.0603 0.9166 0.2655 O
0.0834 0.7345 0.9397 O
0.1148 0.3053 0.5070 O
0.1947 0.3852 0.9930 O
0.2345 0.5834 0.4397 O
0.2655 0.0603 0.9166 O
0.3053 0.5070 0.1148 O
0.3852 0.9930 0.1947 O
0.4166 0.5603 0.7655 O
0.4397 0.2345 0.5834 O
0.4930 0.8852 0.6947 O
0.5070 0.1148 0.3053 O
0.5603 0.7655 0.4166 O
0.5834 0.4397 0.2345 O
0.6148 0.0070 0.8053 O
0.6947 0.4930 0.8852 O
0.7345 0.9397 0.0834 O
0.7655 0.4166 0.5603 O
0.8053 0.6148 0.0070 O
0.8852 0.6947 0.4930 O
0.9166 0.2655 0.0603 O
0.9397 0.0834 0.7345 O
0.9930 0.1947 0.3852 O
```

BaNdMgCo2O5: simulated powder diffractogram (Cu Kα (λ = 1.5418 Å)), based on DFT lattice parameters and positions (GGA+U).
Peak positions follow from Bragg's law for the DFT cell and can differ from measured ones.

Top 8 peaks for 2θ = 15–90°, in order of rising 2θ:
2θ = 23.2°, I 52
2θ = 28.2°, I 61
2θ = 31.7°, I 92
2θ = 35.1°, I 91
2θ = 36.4°, I 100
2θ = 36.8°, I 50
2θ = 43.2°, I 55
2θ = 57.7°, I 69

Crystal structure
```
BaNdMgCo2O5
1.0
3.8304 0.0000 0.0000
0.0000 4.1859 0.0000
0.0000 0.0000 9.6865
Ba Nd Mg Co O
1 1 1 2 5
Direct
0.0000 0.0000 0.0000 Ba
0.0000 0.0000 0.6338 Nd
0.0000 0.5000 0.2803 Mg
0.5000 0.5000 0.5023 Co
0.5000 0.5000 0.7914 Co
0.0000 0.5000 0.4805 O
0.0000 0.5000 0.8149 O
0.5000 0.0000 0.4978 O
0.5000 0.0000 0.8195 O
0.5000 0.5000 0.1881 O
```

Fe5OF11: simulated powder diffractogram (Cu Kα (λ = 1.5418 Å)), based on DFT lattice parameters and positions (GGA+U).
Peak positions follow from Bragg's law for the DFT cell and can differ from measured ones.

Top 8 peaks for 2θ = 15–90°, in order of rising 2θ:
2θ = 18.4°, I 100
2θ = 20.0°, I 49
2θ = 20.2°, I 35
2θ = 22.8°, I 34
2θ = 37.8°, I 35
2θ = 38.6°, I 36
2θ = 38.8°, I 39
2θ = 51.1°, I 37

Crystal structure
```
Fe5OF11
1.0
5.3227 0.0000 0.0000
-2.6393 5.0923 0.0000
-0.1712 -3.0470 8.8706
Fe O F
5 1 11
Direct
0.0000 0.0000 0.0000 Fe
0.0044 0.0024 0.6763 Fe
0.4519 0.9249 0.1676 Fe
0.4702 0.9772 0.4941 Fe
0.7902 0.5427 0.2691 Fe
0.2289 0.7548 0.3001 O
0.1887 0.7499 0.9841 F
0.1894 0.7669 0.6050 F
0.2464 0.2233 0.8669 F
0.2838 0.2071 0.5603 F
0.3429 0.2297 0.1950 F
0.7074 0.7551 0.1337 F
0.7068 0.7609 0.4671 F
0.7230 0.2069 0.3709 F
0.7597 0.7754 0.7834 F
0.7780 0.2054 0.0855 F
0.7793 0.1905 0.6710 F
```

Question: What is the formula in the fifth record?
Answer: MnO2